(1)
The following is a theoretical powder XRD pattern of H3W. It was derived from a DFT-relaxed cell (PBE, the Materials Project), using Cu Kα (λ = 1.5418 Å).

Top 10 peaks for 15° ≤ 2θ ≤ 90°, sorted by position:
2θ/deg, d_spacing, Rel. int.
17.59, 5.042, 38
28.34, 3.149, 31
29.34, 3.044, 24
33.70, 2.660, 100
35.61, 2.521, 26
37.34, 2.408, 41
39.66, 2.272, 37
40.64, 2.220, 46
41.37, 2.182, 48
46.23, 1.964, 23

abc: 3.2577 3.1304 5.2163
angles: 90.00 104.84 90.00
Space group P2_1/m (No. 11)
Asymmetric unit:
H1 0.0024 0.2500 0.3482 x2
H2 0.0914 0.7500 0.1428 x2
H3 0.4320 0.2500 0.1035 x2
W1 0.3499 0.2500 0.6888 x2

=====

(2)
The following is a theoretical powder XRD pattern of Ba3Sr. It was derived from a DFT-relaxed cell (PBE, the Materials Project), using Cu Kα (λ = 1.5418 Å).

Top 10 peaks for 15° ≤ 2θ ≤ 90°, sorted by position:
2θ/deg, d_spacing, Rel. int.
25.27, 3.524, 100
36.05, 2.492, 20
44.54, 2.034, 43
51.90, 1.762, 14
58.58, 1.576, 19
64.81, 1.439, 5
70.74, 1.332, 22
76.46, 1.246, 2
82.04, 1.175, 11
87.55, 1.114, 6

abc: 9.9667 9.9667 9.9667
angles: 90.00 90.00 90.00
Space group Fm-3m (No. 225)
Asymmetric unit:
Ba1 0.0000 0.0000 0.0000 x4
Ba2 0.2500 0.2500 0.2500 x8
Sr1 0.0000 0.0000 0.5000 x4

=====

(3)
The following is a theoretical powder XRD pattern of Sr3W3N5. It was derived from a DFT-relaxed cell (PBE, the Materials Project), using Cu Kα (λ = 1.5418 Å).

Top 10 peaks for 15° ≤ 2θ ≤ 90°, sorted by position:
2θ/deg, d_spacing, Rel. int.
15.73, 5.635, 39
20.27, 4.381, 25
29.21, 3.057, 50
29.89, 2.990, 43
30.01, 2.977, 43
31.66, 2.826, 95
31.78, 2.816, 100
33.94, 2.641, 99
34.52, 2.598, 46
41.09, 2.197, 25

abc: 6.1563 7.9620 8.4077
angles: 108.34 103.33 103.95
Space group P-1 (No. 2)
Asymmetric unit:
Sr1 0.1526 0.3546 0.3850 x2
Sr2 0.1798 0.1814 0.7327 x2
Sr3 0.2536 0.9497 0.1009 x2
W1 0.2221 0.5196 0.0928 x2
W2 0.4033 0.8074 0.4588 x2
W3 0.4105 0.6219 0.8239 x2
N1 0.1001 0.5554 0.8632 x2
N2 0.2219 0.2498 0.0644 x2
N3 0.2632 0.0169 0.4297 x2
N4 0.3114 0.7232 0.6315 x2
N5 0.4959 0.5825 0.3341 x2

=====

(4)
The following is a theoretical powder XRD pattern of Pr2Se2F. It was derived from a DFT-relaxed cell (PBE, the Materials Project), using Cu Kα (λ = 1.5418 Å).

Top 10 peaks for 15° ≤ 2θ ≤ 90°, sorted by position:
2θ/deg, d_spacing, Rel. int.
25.60, 3.480, 19
27.28, 3.269, 100
30.21, 2.959, 14
37.76, 2.383, 28
38.97, 2.311, 38
42.66, 2.119, 20
47.21, 1.925, 15
48.09, 1.892, 22
56.17, 1.637, 13
63.66, 1.462, 18

abc: 3.2686 3.2686 13.9208
angles: 90.00 90.00 90.00
Space group P4/mmm (No. 123)
Asymmetric unit:
Pr1 0.0000 0.0000 0.1689 x2
Se1 0.0000 0.0000 0.3697 x2
F1 0.0000 0.0000 0.0000 x1

=====

(5)
The following is a theoretical powder XRD pattern of LiCu3. It was derived from a DFT-relaxed cell (PBE, the Materials Project), using Cu Kα (λ = 1.5418 Å).

Top 9 peaks for 15° ≤ 2θ ≤ 90°, sorted by position:
2θ/deg, d_spacing, Rel. int.
24.67, 3.609, 32
35.17, 2.552, 25
43.43, 2.083, 100
50.59, 1.804, 47
57.07, 1.614, 11
63.11, 1.473, 8
74.35, 1.276, 27
79.72, 1.203, 5
85.00, 1.141, 3

abc: 3.6086 3.6086 3.6086
angles: 90.00 90.00 90.00
Space group Pm-3m (No. 221)
Asymmetric unit:
Li1 0.0000 0.0000 0.0000 x1
Cu1 0.0000 0.5000 0.5000 x3

=====

(6)
The following is a theoretical powder XRD pattern of LiTiP4O12. It was derived from a DFT-relaxed cell (PBE, the Materials Project), using Cu Kα (λ = 1.5418 Å).

Top 10 peaks for 15° ≤ 2θ ≤ 90°, sorted by position:
2θ/deg, d_spacing, Rel. int.
18.69, 4.747, 61
21.00, 4.230, 51
22.39, 3.971, 68
22.98, 3.870, 39
26.90, 3.315, 18
27.25, 3.273, 100
27.46, 3.248, 32
32.26, 2.775, 28
33.90, 2.644, 21
34.55, 2.596, 32

abc: 15.5744 7.2951 9.5191
angles: 90.00 123.46 90.00
Space group C2/c (No. 15)
Asymmetric unit:
Li1 0.0000 0.1949 0.2500 x4
Ti1 0.0000 0.3475 0.7500 x4
P1 0.1318 0.0622 0.6302 x8
P2 0.1403 0.3426 0.1744 x8
O1 0.0642 0.4239 0.2082 x8
O2 0.0691 0.0425 0.4440 x8
O3 0.1047 0.2050 0.7141 x8
O4 0.1193 0.3647 0.0012 x8
O5 0.1456 0.1306 0.2249 x8
O6 0.2493 0.0873 0.6816 x8

=====

(7)
The following is a theoretical powder XRD pattern of Ba3Bi3N5. It was derived from a DFT-relaxed cell (PBE, the Materials Project), using Cu Kα (λ = 1.5418 Å).

Top 10 peaks for 15° ≤ 2θ ≤ 90°, sorted by position:
2θ/deg, d_spacing, Rel. int.
26.79, 3.328, 55
27.32, 3.265, 56
27.61, 3.231, 58
27.81, 3.208, 56
28.13, 3.173, 58
28.19, 3.165, 100
29.05, 3.074, 52
29.37, 3.041, 48
34.43, 2.605, 65
51.56, 1.772, 33

abc: 6.6720 8.5957 9.8945
angles: 107.17 101.27 99.88
Space group P-1 (No. 2)
Asymmetric unit:
Ba1 0.1581 0.1673 0.2365 x2
Ba2 0.1959 0.3556 0.9488 x2
Ba3 0.2693 0.0052 0.6187 x2
Bi1 0.2145 0.4740 0.6387 x2
Bi2 0.3021 0.6706 0.3151 x2
Bi3 0.3667 0.8246 0.0019 x2
N1 0.0078 0.4727 0.2052 x2
N2 0.0947 0.2142 0.5062 x2
N3 0.2718 0.0297 0.9237 x2
N4 0.2720 0.8746 0.2141 x2
N5 0.4874 0.4514 0.8051 x2

=====

(8)
The following is a theoretical powder XRD pattern of TbPaO4. It was derived from a DFT-relaxed cell (PBE, the Materials Project), using Cu Kα (λ = 1.5418 Å).

Top 10 peaks for 15° ≤ 2θ ≤ 90°, sorted by position:
2θ/deg, d_spacing, Rel. int.
28.63, 3.118, 100
33.18, 2.700, 35
47.63, 1.909, 51
56.48, 1.629, 31
56.61, 1.626, 15
59.28, 1.559, 10
76.89, 1.240, 6
77.00, 1.238, 13
79.29, 1.208, 9
88.70, 1.103, 11

abc: 5.4054 5.4054 10.7796
angles: 90.00 90.00 90.00
Space group I4_1/amd (No. 141, origin choice 2)
Asymmetric unit:
Tb1 0.0000 0.2500 0.3750 x4
Pa1 0.0000 0.2500 0.8750 x4
O1 0.2384 0.0000 0.0000 x16

=====

(9)
The following is a theoretical powder XRD pattern of Zr3Sn4Sb2. It was derived from a DFT-relaxed cell (PBE, the Materials Project), using Cu Kα (λ = 1.5418 Å).

Top 10 peaks for 15° ≤ 2θ ≤ 90°, sorted by position:
2θ/deg, d_spacing, Rel. int.
32.05, 2.792, 29
34.09, 2.630, 100
34.22, 2.620, 95
34.98, 2.565, 68
39.71, 2.270, 22
39.81, 2.264, 40
39.98, 2.255, 44
58.38, 1.581, 27
58.53, 1.577, 35
67.03, 1.396, 31

abc: 5.5877 9.6691 7.6950
angles: 90.00 90.49 90.00
Space group C2 (No. 5)
Asymmetric unit:
Zr1 0.0000 0.0000 0.0000 x2
Zr2 0.2468 0.2470 0.6634 x4
Sn1 0.0000 0.3309 0.0000 x2
Sn2 0.0000 0.6680 0.0000 x2
Sn3 0.2482 0.9135 0.6689 x4
Sb1 0.2500 0.0808 0.3326 x4